Diffraction record for LiV2C4O12. The X-ray powder pattern is calculated, not measured: it uses a structure optimized by DFT (PBE+U) and Cu Kα.
Neutral-atom scattering factors, no anomalous dispersion.

Cell and atoms:
```
LiV2C4O12
1.0
5.530 0.000 0.000
2.712 6.141 0.000
2.004 -0.124 7.830
Li V C O
1 2 4 12
Direct
0.000 0.000 0.000 Li
0.632 0.988 0.681 V
0.865 0.455 0.184 V
0.193 0.347 0.907 C
0.595 0.822 0.972 C
0.769 0.111 0.397 C
0.802 0.599 0.461 C
0.023 0.553 0.335 O
0.212 0.451 0.030 O
0.375 0.284 0.770 O
0.396 0.876 0.900 O
0.554 0.072 0.435 O
0.600 0.712 0.113 O
0.619 0.551 0.422 O
0.780 0.681 0.602 O
0.788 0.887 0.900 O
0.859 0.170 0.240 O
0.903 0.083 0.513 O
0.968 0.314 0.944 O
```

The 10 most intense peaks (15° ≤ 2θ ≤ 90°), by intensity:
2theta  I (rel.)  index
18.06  100  1 0 0
18.93  60  1 0 1
19.13  52  1 1 1
18.50  37  0 1 1
18.22  32  0 1 -1
31.12  20  0 2 -1
31.46  18  0 2 1
27.36  10  1 -1 0
27.87  10  1 -1 1
40.94  9  2 2 -1